The following is a calculated XRD peak list of TaAgSb. It was derived from a crystal structure in Alexandria, relaxed with PBE, using λ = 1.5418 Å (Cu Kα).

a b c (Å): 4.8140 4.8140 2.9276
angles (deg): 90.00 90.00 120.00
Space group P-6m2 (No. 187)
Symmetry-distinct sites (fractional):
Ta 0.0000 0.0000 0.0000 (multiplicity 1)
Ag 0.3333 0.6667 0.5000 (multiplicity 1)
Sb 0.6667 0.3333 0.5000 (multiplicity 1)

Most intense lines, 10 to 90 degrees two-theta, low angle first:
- (1 0 0), d 4.169, intensity 9
- (1 1 0), d 2.407, intensity 99
- (1 0 1), d 2.396, intensity 100
- (2 0 0), d 2.085, intensity 2
- (2 0 1), d 1.698, intensity 35
- (0 0 2), d 1.464, intensity 7
- (3 0 0), d 1.390, intensity 17
- (2 1 1), d 1.388, intensity 35
- (1 1 2), d 1.251, intensity 24
- (2 2 0), d 1.203, intensity 11